# 1
Theoretical powder X-ray diffraction pattern
Compound: DyTc2O8
Radiation: a wavelength of 1.5418 Å
Structure: a structure optimized by DFT (GGA-PBE)
Neutral-atom scattering factors, no anomalous dispersion.

Structure:
a b c (Å): 6.732 6.732 6.732
angles (deg): 60.00 60.00 60.00
Sites, in units of the cell vectors:
Dy  0.000  0.000  0.000
Tc  0.250  0.250  0.250
Tc  0.750  0.750  0.750
O  0.144  0.144  0.144
O  0.144  0.144  0.569
O  0.144  0.569  0.144
O  0.431  0.856  0.856
O  0.569  0.144  0.144
O  0.856  0.431  0.856
O  0.856  0.856  0.431
O  0.856  0.856  0.856

Largest 10 diffraction maxima, in order of falling intensity, 2θ = 10–80°:
| Position (°2θ) | I (rel.) |
| --- | --- |
| 26.5 | 100 |
| 16.1 | 60 |
| 46.7 | 39 |
| 41.3 | 22 |
| 74.6 | 21 |
| 54.5 | 20 |
| 61.6 | 16 |
| 31.2 | 12 |
| 57.2 | 10 |
| 37.8 | 9 |

=====

# 2
Theoretical powder X-ray diffraction pattern
Compound: Dy3TcO6
Radiation: a wavelength of 1.5418 Å
Structure: a structure optimized by DFT (GGA-PBE)
Neutral-atom scattering factors, no anomalous dispersion.

Structure:
a b c (Å): 6.523 6.523 6.523
angles (deg): 98.24 98.24 98.24
Sites, in units of the cell vectors:
Dy  0.104  0.613  0.786
Dy  0.214  0.896  0.387
Dy  0.387  0.214  0.896
Dy  0.613  0.786  0.104
Dy  0.786  0.104  0.613
Dy  0.896  0.387  0.214
Tc  0.000  0.000  0.000
Tc  0.500  0.500  0.500
O  0.067  0.307  0.922
O  0.078  0.933  0.693
O  0.193  0.552  0.437
O  0.307  0.922  0.067
O  0.437  0.193  0.552
O  0.448  0.563  0.807
O  0.552  0.437  0.193
O  0.563  0.807  0.448
O  0.693  0.078  0.933
O  0.807  0.448  0.563
O  0.922  0.067  0.307
O  0.933  0.693  0.078

Largest 10 diffraction maxima, in order of falling intensity, 2θ = 10–80°:
| Position (°2θ) | I (rel.) |
| --- | --- |
| 29.2 | 100 |
| 33.5 | 83 |
| 47.4 | 53 |
| 28.1 | 41 |
| 48.9 | 32 |
| 57.3 | 21 |
| 58.0 | 18 |
| 56.0 | 17 |
| 60.5 | 16 |
| 79.1 | 15 |

=====

# 3
Theoretical powder X-ray diffraction pattern
Compound: DyTlTc2O8
Radiation: a wavelength of 1.5418 Å
Structure: a structure optimized by DFT (GGA-PBE)
Neutral-atom scattering factors, no anomalous dispersion.

Structure:
a b c (Å): 6.018 6.018 7.764
angles (deg): 90.00 90.00 120.00
Sites, in units of the cell vectors:
Dy  0.000  0.000  0.000
Tl  0.000  0.000  0.500
Tc  0.333  0.667  0.255
Tc  0.667  0.333  0.745
O  0.169  0.341  0.177
O  0.173  0.831  0.177
O  0.333  0.667  0.480
O  0.341  0.173  0.823
O  0.659  0.827  0.177
O  0.667  0.333  0.520
O  0.827  0.169  0.823
O  0.831  0.659  0.823

Largest 10 diffraction maxima, in order of falling intensity, 2θ = 10–80°:
| Position (°2θ) | I (rel.) |
| --- | --- |
| 28.7 | 100 |
| 29.7 | 77 |
| 17.0 | 59 |
| 20.5 | 54 |
| 41.7 | 45 |
| 52.1 | 39 |
| 56.4 | 28 |
| 69.4 | 17 |
| 52.7 | 15 |
| 61.7 | 13 |

=====

# 4
Theoretical powder X-ray diffraction pattern
Compound: DyTeO4
Radiation: a wavelength of 1.5418 Å
Structure: a structure optimized by DFT (GGA-PBE)
Neutral-atom scattering factors, no anomalous dispersion.

Structure:
a b c (Å): 5.488 5.195 5.857
angles (deg): 90.00 90.00 90.00
Sites, in units of the cell vectors:
Dy  0.000  0.000  0.000
Dy  0.000  0.500  0.500
Te  0.500  0.000  0.358
Te  0.500  0.500  0.858
O  0.190  0.195  0.308
O  0.190  0.305  0.808
O  0.344  0.741  0.611
O  0.344  0.759  0.111
O  0.656  0.241  0.111
O  0.656  0.259  0.611
O  0.810  0.695  0.808
O  0.810  0.805  0.308

Largest 10 diffraction maxima, in order of falling intensity, 2θ = 10–80°:
| Position (°2θ) | I (rel.) |
| --- | --- |
| 28.1 | 100 |
| 22.9 | 24 |
| 49.8 | 19 |
| 34.7 | 18 |
| 48.2 | 17 |
| 55.5 | 16 |
| 32.6 | 16 |
| 58.0 | 14 |
| 60.9 | 13 |
| 49.9 | 13 |

=====

# 5
Theoretical powder X-ray diffraction pattern
Compound: DyTeO
Radiation: a wavelength of 1.5418 Å
Structure: a structure optimized by DFT (GGA-PBE)
Neutral-atom scattering factors, no anomalous dispersion.

Structure:
a b c (Å): 6.254 6.488 7.745
angles (deg): 90.00 110.29 90.00
Sites, in units of the cell vectors:
Dy  0.118  0.170  0.173
Dy  0.118  0.330  0.673
Dy  0.882  0.670  0.327
Dy  0.882  0.830  0.827
Te  0.363  0.599  0.087
Te  0.363  0.901  0.587
Te  0.637  0.099  0.413
Te  0.637  0.401  0.913
O  0.041  0.132  0.871
O  0.041  0.368  0.371
O  0.959  0.632  0.629
O  0.959  0.868  0.129

Largest 10 diffraction maxima, in order of falling intensity, 2θ = 10–80°:
| Position (°2θ) | I (rel.) |
| --- | --- |
| 27.6 | 100 |
| 33.5 | 76 |
| 33.2 | 62 |
| 30.2 | 60 |
| 31.8 | 49 |
| 20.9 | 48 |
| 35.8 | 34 |
| 37.6 | 28 |
| 49.0 | 27 |
| 52.3 | 25 |

=====

# 6
Theoretical powder X-ray diffraction pattern
Compound: Dy2TeO6
Radiation: a wavelength of 1.5418 Å
Structure: a structure optimized by DFT (GGA-PBE)
Neutral-atom scattering factors, no anomalous dispersion.

Structure:
a b c (Å): 5.309 9.153 10.029
angles (deg): 90.00 90.00 90.00
Sites, in units of the cell vectors:
Dy  0.019  0.103  0.462
Dy  0.039  0.217  0.865
Dy  0.461  0.783  0.365
Dy  0.481  0.897  0.962
Dy  0.519  0.397  0.538
Dy  0.539  0.283  0.135
Dy  0.961  0.717  0.635
Dy  0.981  0.603  0.038
Te  0.038  0.495  0.352
Te  0.462  0.505  0.852
Te  0.538  0.005  0.648
Te  0.962  0.995  0.148
O  0.088  0.844  0.029
O  0.170  0.950  0.299
O  0.181  0.640  0.821
O  0.187  0.641  0.238
O  0.233  0.115  0.068
O  0.244  0.586  0.495
O  0.256  0.414  0.995
O  0.267  0.885  0.568
O  0.313  0.359  0.738
O  0.319  0.360  0.321
O  0.330  0.050  0.799
O  0.412  0.156  0.529
O  0.588  0.656  0.971
O  0.670  0.550  0.701
O  0.681  0.860  0.179
O  0.687  0.859  0.762
O  0.733  0.385  0.932
O  0.744  0.914  0.505
O  0.756  0.086  0.005
O  0.767  0.615  0.432
O  0.813  0.141  0.262
O  0.819  0.140  0.679
O  0.830  0.450  0.201
O  0.912  0.344  0.471

Largest 10 diffraction maxima, in order of falling intensity, 2θ = 10–80°:
| Position (°2θ) | I (rel.) |
| --- | --- |
| 27.2 | 100 |
| 26.3 | 90 |
| 33.1 | 61 |
| 25.7 | 51 |
| 33.8 | 36 |
| 53.7 | 35 |
| 30.6 | 34 |
| 28.4 | 33 |
| 46.2 | 31 |
| 34.4 | 25 |

=====

# 7
Theoretical powder X-ray diffraction pattern
Compound: DyTe2O5
Radiation: a wavelength of 1.5418 Å
Structure: a structure optimized by DFT (GGA-PBE)
Neutral-atom scattering factors, no anomalous dispersion.

Structure:
a b c (Å): 7.356 10.703 7.072
angles (deg): 90.00 90.00 90.00
Sites, in units of the cell vectors:
Dy  0.000  0.055  0.250
Dy  0.000  0.945  0.750
Dy  0.500  0.445  0.750
Dy  0.500  0.555  0.250
Te  0.107  0.351  0.017
Te  0.107  0.649  0.517
Te  0.393  0.149  0.517
Te  0.393  0.851  0.017
Te  0.607  0.149  0.983
Te  0.607  0.851  0.483
Te  0.893  0.351  0.483
Te  0.893  0.649  0.983
O  0.000  0.438  0.250
O  0.000  0.562  0.750
O  0.159  0.065  0.530
O  0.159  0.935  0.030
O  0.184  0.213  0.171
O  0.184  0.787  0.671
O  0.316  0.287  0.671
O  0.316  0.713  0.171
O  0.341  0.435  0.030
O  0.341  0.565  0.530
O  0.500  0.062  0.750
O  0.500  0.938  0.250
O  0.659  0.435  0.470
O  0.659  0.565  0.970
O  0.684  0.287  0.829
O  0.684  0.713  0.329
O  0.816  0.213  0.329
O  0.816  0.787  0.829
O  0.841  0.065  0.970
O  0.841  0.935  0.470

Largest 10 diffraction maxima, in order of falling intensity, 2θ = 10–80°:
| Position (°2θ) | I (rel.) |
| --- | --- |
| 24.1 | 100 |
| 29.2 | 93 |
| 28.6 | 68 |
| 27.8 | 63 |
| 19.3 | 38 |
| 30.6 | 34 |
| 42.5 | 29 |
| 59.7 | 27 |
| 51.0 | 24 |
| 39.1 | 23 |

=====

# 8
Theoretical powder X-ray diffraction pattern
Compound: Dy2Te4O11
Radiation: a wavelength of 1.5418 Å
Structure: a structure optimized by DFT (GGA-PBE)
Neutral-atom scattering factors, no anomalous dispersion.

Structure:
a b c (Å): 6.759 6.759 16.382
angles (deg): 103.80 103.80 45.03
Sites, in units of the cell vectors:
Dy  0.130  0.632  0.963
Dy  0.368  0.870  0.537
Dy  0.632  0.130  0.463
Dy  0.870  0.368  0.037
Te  0.153  0.588  0.624
Te  0.161  0.598  0.302
Te  0.402  0.839  0.198
Te  0.412  0.847  0.876
Te  0.588  0.153  0.124
Te  0.598  0.161  0.802
Te  0.839  0.402  0.698
Te  0.847  0.412  0.376
O  0.038  0.824  0.545
O  0.094  0.203  0.167
O  0.149  0.851  0.250
O  0.176  0.962  0.955
O  0.192  0.315  0.374
O  0.203  0.094  0.667
O  0.247  0.336  0.051
O  0.315  0.192  0.874
O  0.336  0.247  0.551
O  0.400  0.553  0.404
O  0.447  0.600  0.096
O  0.553  0.400  0.904
O  0.600  0.447  0.596
O  0.664  0.753  0.449
O  0.685  0.808  0.126
O  0.753  0.664  0.949
O  0.797  0.906  0.333
O  0.808  0.685  0.626
O  0.824  0.038  0.045
O  0.851  0.149  0.750
O  0.906  0.797  0.833
O  0.962  0.176  0.455

Largest 10 diffraction maxima, in order of falling intensity, 2θ = 10–80°:
| Position (°2θ) | I (rel.) |
| --- | --- |
| 26.5 | 100 |
| 29.7 | 66 |
| 29.6 | 32 |
| 54.5 | 25 |
| 46.2 | 21 |
| 33.4 | 21 |
| 48.9 | 18 |
| 48.7 | 18 |
| 34.7 | 17 |
| 40.7 | 15 |

=====

# 9
Theoretical powder X-ray diffraction pattern
Compound: Dy2TeO
Radiation: a wavelength of 1.5418 Å
Structure: a structure optimized by DFT (GGA-PBE)
Neutral-atom scattering factors, no anomalous dispersion.

Structure:
a b c (Å): 8.006 6.606 6.752
angles (deg): 90.00 93.45 90.00
Sites, in units of the cell vectors:
Dy  0.061  0.172  0.344
Dy  0.061  0.328  0.844
Dy  0.302  0.642  0.553
Dy  0.302  0.858  0.053
Dy  0.698  0.142  0.947
Dy  0.698  0.358  0.447
Dy  0.939  0.672  0.156
Dy  0.939  0.828  0.656
Te  0.362  0.122  0.683
Te  0.362  0.378  0.183
Te  0.638  0.622  0.817
Te  0.638  0.878  0.317
O  0.125  0.664  0.857
O  0.125  0.836  0.357
O  0.875  0.164  0.643
O  0.875  0.336  0.143

Largest 10 diffraction maxima, in order of falling intensity, 2θ = 10–80°:
| Position (°2θ) | I (rel.) |
| --- | --- |
| 31.9 | 100 |
| 33.7 | 72 |
| 32.4 | 52 |
| 29.9 | 36 |
| 36.4 | 33 |
| 38.3 | 23 |
| 49.5 | 20 |
| 54.7 | 17 |
| 42.5 | 15 |
| 29.8 | 13 |

=====

# 10
Theoretical powder X-ray diffraction pattern
Compound: DyTlTe2O8
Radiation: a wavelength of 1.5418 Å
Structure: a structure optimized by DFT (GGA-PBE)
Neutral-atom scattering factors, no anomalous dispersion.

Structure:
a b c (Å): 5.933 5.933 8.030
angles (deg): 90.00 90.00 120.00
Sites, in units of the cell vectors:
Dy  0.000  0.000  0.000
Tl  0.000  0.000  0.500
Te  0.333  0.667  0.255
Te  0.667  0.333  0.745
O  0.113  0.337  0.174
O  0.223  0.887  0.174
O  0.333  0.667  0.482
O  0.337  0.223  0.826
O  0.663  0.777  0.174
O  0.667  0.333  0.518
O  0.777  0.113  0.826
O  0.887  0.663  0.826

Largest 10 diffraction maxima, in order of falling intensity, 2θ = 10–80°:
| Position (°2θ) | I (rel.) |
| --- | --- |
| 28.2 | 100 |
| 30.1 | 74 |
| 20.5 | 63 |
| 41.7 | 41 |
| 17.3 | 41 |
| 52.3 | 37 |
| 55.2 | 30 |
| 53.5 | 16 |
| 70.1 | 16 |
| 72.5 | 13 |

=====

# 11
Theoretical powder X-ray diffraction pattern
Compound: DyY2TeO8
Radiation: a wavelength of 1.5418 Å
Structure: a structure optimized by DFT (GGA-PBE)
Neutral-atom scattering factors, no anomalous dispersion.

Structure:
a b c (Å): 5.043 5.043 6.880
angles (deg): 90.00 90.00 90.94
Sites, in units of the cell vectors:
Dy  0.000  0.000  0.000
Y  0.500  0.500  0.252
Y  0.500  0.500  0.748
Te  0.000  0.000  0.500
O  0.182  0.818  0.288
O  0.182  0.818  0.712
O  0.275  0.275  0.500
O  0.309  0.309  0.000
O  0.691  0.691  0.000
O  0.725  0.725  0.500
O  0.818  0.182  0.288
O  0.818  0.182  0.712

Largest 10 diffraction maxima, in order of falling intensity, 2θ = 10–80°:
| Position (°2θ) | I (rel.) |
| --- | --- |
| 31.5 | 100 |
| 24.8 | 63 |
| 25.2 | 57 |
| 48.0 | 43 |
| 48.5 | 39 |
| 35.6 | 27 |
| 61.4 | 24 |
| 17.6 | 14 |
| 59.6 | 11 |
| 65.7 | 11 |